Record 1
For Ba3ZnIr2O9, a crystal structure in the Materials Project, relaxed with GGA-PBE gives the simulated powder XRD pattern in this record (copper Kα).

Atomic structure:
Lattice parameters (Å, degrees): 5.8598 5.8598 14.4781 90.00 90.00 120.00
Sites, in units of the cell vectors:
1 Ba 0.0000 0.0000 0.2500
2 Ba 0.0000 0.0000 0.7500
3 Ba 0.3333 0.6667 0.0872
4 Ba 0.3333 0.6667 0.4128
5 Ba 0.6667 0.3333 0.5872
6 Ba 0.6667 0.3333 0.9128
7 Zn 0.0000 0.0000 0.0000
8 Zn 0.0000 0.0000 0.5000
9 Ir 0.3333 0.6667 0.6566
10 Ir 0.3333 0.6667 0.8434
11 Ir 0.6667 0.3333 0.1566
12 Ir 0.6667 0.3333 0.3434
13 O 0.0299 0.5150 0.7500
14 O 0.1711 0.3422 0.5829
15 O 0.1711 0.3422 0.9171
16 O 0.1711 0.8289 0.5829
17 O 0.1711 0.8289 0.9171
18 O 0.3422 0.1711 0.0829
19 O 0.3422 0.1711 0.4171
20 O 0.4850 0.5150 0.7500
21 O 0.4850 0.9701 0.7500
22 O 0.5150 0.0299 0.2500
23 O 0.5150 0.4850 0.2500
24 O 0.6578 0.8289 0.5829
25 O 0.6578 0.8289 0.9171
26 O 0.8289 0.1711 0.0829
27 O 0.8289 0.1711 0.4171
28 O 0.8289 0.6578 0.0829
29 O 0.8289 0.6578 0.4171
30 O 0.9701 0.4850 0.2500

Main lines, sorted by position (5° ≤ 2θ ≤ 70°):
- 4.789 Å, I = 33
- 2.947 Å, I = 49
- 2.930 Å, I = 100
- 2.515 Å, I = 31
- 2.078 Å, I = 27
- 1.908 Å, I = 19
- 1.695 Å, I = 19
- 1.692 Å, I = 20
- 1.599 Å, I = 18
- 1.465 Å, I = 18


Record 2
For K4BaU3O12, a crystal structure in the Materials Project, relaxed with GGA-PBE gives the simulated powder XRD pattern in this record (copper Kα).

Atomic structure:
Lattice parameters (Å, degrees): 7.6435 7.6435 7.6435 109.18 109.18 109.18
Sites, in units of the cell vectors:
1 K 0.0000 0.0000 0.0000
2 K 0.0000 0.0000 0.5000
3 K 0.0000 0.5000 0.0000
4 K 0.5000 0.0000 0.0000
5 Ba 0.5000 0.5000 0.5000
6 U 0.0000 0.5000 0.5000
7 U 0.5000 0.0000 0.5000
8 U 0.5000 0.5000 0.0000
9 O 0.0118 0.2902 0.2902
10 O 0.2552 0.5000 0.7448
11 O 0.2552 0.7448 0.5000
12 O 0.2902 0.0118 0.2902
13 O 0.2902 0.2902 0.0118
14 O 0.5000 0.2552 0.7448
15 O 0.5000 0.7448 0.2552
16 O 0.7098 0.7098 0.9882
17 O 0.7098 0.9882 0.7098
18 O 0.7448 0.2552 0.5000
19 O 0.7448 0.5000 0.2552
20 O 0.9882 0.7098 0.7098

Main lines, sorted by position (5° ≤ 2θ ≤ 70°):
- 6.297 Å, I = 52
- 4.429 Å, I = 78
- 3.608 Å, I = 28
- 3.148 Å, I = 100
- 3.115 Å, I = 96
- 2.214 Å, I = 60
- 1.824 Å, I = 21
- 1.805 Å, I = 40
- 1.798 Å, I = 20
- 1.405 Å, I = 19


Record 3
For Ti6O11, a crystal structure in the Materials Project, relaxed with GGA-PBE gives the simulated powder XRD pattern in this record (copper Kα).

Atomic structure:
Lattice parameters (Å, degrees): 5.6037 7.1898 9.8033 90.01 100.43 108.69
Sites, in units of the cell vectors:
1 Ti 0.1789 0.1934 0.4346
2 Ti 0.1815 0.6963 0.4391
3 Ti 0.2258 0.1388 0.0831
4 Ti 0.2291 0.6382 0.0857
5 Ti 0.3110 0.5721 0.7433
6 Ti 0.3136 0.0753 0.7430
7 Ti 0.6864 0.9247 0.2570
8 Ti 0.6890 0.4279 0.2567
9 Ti 0.7709 0.3618 0.9143
10 Ti 0.7742 0.8612 0.9169
11 Ti 0.8185 0.3037 0.5609
12 Ti 0.8211 0.8066 0.5654
13 O 0.0143 0.9060 0.3914
14 O 0.0543 0.5744 0.2574
15 O 0.0964 0.3578 0.0262
16 O 0.1219 0.0177 0.8902
17 O 0.1846 0.7991 0.6459
18 O 0.2103 0.4555 0.5327
19 O 0.3394 0.2618 0.2838
20 O 0.3641 0.9222 0.1512
21 O 0.4064 0.6970 0.9247
22 O 0.4342 0.3580 0.7951
23 O 0.4733 0.1722 0.5649
24 O 0.5267 0.8278 0.4351
25 O 0.5658 0.6420 0.2049
26 O 0.5936 0.3030 0.0753
27 O 0.6359 0.0778 0.8488
28 O 0.6606 0.7382 0.7162
29 O 0.7897 0.5445 0.4673
30 O 0.8154 0.2009 0.3541
31 O 0.8781 0.9823 0.1098
32 O 0.9036 0.6422 0.9738
33 O 0.9457 0.4256 0.7426
34 O 0.9857 0.0940 0.6086

Main lines, sorted by position (5° ≤ 2θ ≤ 70°):
- 3.929 Å, I = 51
- 3.398 Å, I = 83
- 3.143 Å, I = 80
- 2.999 Å, I = 100
- 2.605 Å, I = 40
- 2.524 Å, I = 43
- 2.499 Å, I = 43
- 2.225 Å, I = 35
- 1.721 Å, I = 64
- 1.656 Å, I = 36


Record 4
For La2TiCuO6, a crystal structure in the Materials Project, relaxed with GGA-PBE gives the simulated powder XRD pattern in this record (copper Kα).

Atomic structure:
Lattice parameters (Å, degrees): 5.6168 5.7463 9.5931 90.00 125.52 90.00
Sites, in units of the cell vectors:
1 La 0.2394 0.0471 0.2510
2 La 0.2394 0.4529 0.7510
3 La 0.7606 0.5471 0.2490
4 La 0.7606 0.9529 0.7490
5 Ti 0.0000 0.0000 0.5000
6 Ti 0.0000 0.5000 0.0000
7 Cu 0.5000 0.0000 0.0000
8 Cu 0.5000 0.5000 0.5000
9 O 0.1512 0.2223 0.9509
10 O 0.1512 0.2777 0.4509
11 O 0.2301 0.7005 0.9534
12 O 0.2301 0.7995 0.4534
13 O 0.3338 0.0249 0.7458
14 O 0.3338 0.4751 0.2458
15 O 0.6662 0.5249 0.7542
16 O 0.6662 0.9751 0.2542
17 O 0.7699 0.2005 0.5466
18 O 0.7699 0.2995 0.0466
19 O 0.8488 0.7223 0.5491
20 O 0.8488 0.7777 0.0491

Main lines, sorted by position (5° ≤ 2θ ≤ 70°):
- 4.017 Å, I = 19
- 2.873 Å, I = 30
- 2.806 Å, I = 100
- 2.794 Å, I = 65
- 2.008 Å, I = 34
- 1.952 Å, I = 19
- 1.766 Å, I = 14
- 1.644 Å, I = 16
- 1.623 Å, I = 15
- 1.616 Å, I = 28